This entry pairs a crystal structure of CaSmEr2In4 with its theoretical X-ray powder pattern. Radiation: Cu Kα. Structure: a cell relaxed with GGA-PBE.
Lines closer than 0.1° are merged.

Structure:
Cell lengths 9.304, 9.304, 9.304 Å; angles 33.36, 33.36, 33.36 degrees
Positions (direct):
Ca: 0.000 0.000 0.000
Sm: 0.500 0.500 0.500
Er: 0.252 0.252 0.252
Er: 0.748 0.748 0.748
In: 0.125 0.125 0.125
In: 0.375 0.375 0.375
In: 0.625 0.625 0.625
In: 0.875 0.875 0.875

Principal peaks in the range 2θ = 10–80°, by intensity:
| 2θ/deg | I/Imax |
| --- | --- |
| 33.41 | 100 |
| 33.56 | 99 |
| 59.93 | 54 |
| 48.08 | 36 |
| 59.62 | 18 |
| 70.18 | 11 |
| 70.52 | 11 |
| 20.35 | 6 |
| 10.08 | 5 |
| 19.48 | 5 |



This entry pairs a crystal structure of Ce2U3O10 with its theoretical X-ray powder pattern. Radiation: Cu Kα. Structure: a cell relaxed with GGA-PBE.
Lines closer than 0.1° are merged.

Structure:
Cell lengths 6.661, 6.661, 8.577 Å; angles 130.06, 130.06, 48.22 degrees
Positions (direct):
Ce: 0.199 0.199 0.299
Ce: 0.801 0.801 0.701
U: 0.000 0.000 0.500
U: 0.400 0.400 0.100
U: 0.600 0.600 0.900
O: 0.044 0.556 0.195
O: 0.158 0.658 0.603
O: 0.262 0.738 0.000
O: 0.342 0.842 0.397
O: 0.444 0.956 0.805
O: 0.556 0.044 0.195
O: 0.658 0.158 0.603
O: 0.738 0.262 0.000
O: 0.842 0.342 0.397
O: 0.956 0.444 0.805

Principal peaks in the range 2θ = 10–80°, by intensity:
| 2θ/deg | I/Imax |
| --- | --- |
| 28.42 | 100 |
| 56.07 | 31 |
| 47.32 | 25 |
| 47.20 | 25 |
| 32.89 | 23 |
| 33.01 | 12 |
| 76.21 | 10 |
| 55.94 | 8 |
| 56.23 | 8 |
| 78.65 | 7 |



This entry pairs a crystal structure of Dy4P6Ir7 with its theoretical X-ray powder pattern. Radiation: Cu Kα. Structure: a cell relaxed with GGA-PBE.
Lines closer than 0.1° are merged.

Structure:
Cell lengths 7.123, 7.123, 7.123 Å; angles 109.47, 109.47, 109.47 degrees
Positions (direct):
Dy: 0.000 0.000 0.500
Dy: 0.000 0.500 0.000
Dy: 0.500 0.000 0.000
Dy: 0.500 0.500 0.500
P: 0.000 0.324 0.324
P: 0.000 0.676 0.676
P: 0.324 0.000 0.324
P: 0.324 0.324 0.000
P: 0.676 0.000 0.676
P: 0.676 0.676 0.000
Ir: 0.000 0.000 0.000
Ir: 0.250 0.500 0.750
Ir: 0.250 0.750 0.500
Ir: 0.500 0.250 0.750
Ir: 0.500 0.750 0.250
Ir: 0.750 0.250 0.500
Ir: 0.750 0.500 0.250

Principal peaks in the range 2θ = 10–80°, by intensity:
| 2θ/deg | I/Imax |
| --- | --- |
| 37.90 | 100 |
| 44.04 | 73 |
| 26.55 | 58 |
| 41.06 | 53 |
| 64.04 | 45 |
| 76.89 | 35 |
| 52.16 | 18 |
| 30.75 | 18 |
| 70.59 | 16 |
| 15.24 | 16 |



This entry pairs a crystal structure of Sb5Pb6 with its theoretical X-ray powder pattern. Radiation: Cu Kα. Structure: a cell relaxed with GGA-PBE.
Lines closer than 0.1° are merged.

Structure:
Cell lengths 7.866, 7.866, 7.729 Å; angles 99.03, 99.03, 119.25 degrees
Positions (direct):
Sb: 0.000 0.000 0.000
Sb: 0.173 0.827 0.500
Sb: 0.345 0.655 0.000
Sb: 0.655 0.345 0.000
Sb: 0.827 0.173 0.500
Pb: 0.046 0.406 0.226
Pb: 0.223 0.223 0.735
Pb: 0.406 0.046 0.226
Pb: 0.594 0.954 0.774
Pb: 0.777 0.777 0.265
Pb: 0.954 0.594 0.774

Principal peaks in the range 2θ = 10–80°, by intensity:
| 2θ/deg | I/Imax |
| --- | --- |
| 27.64 | 100 |
| 28.13 | 52 |
| 39.40 | 39 |
| 40.29 | 38 |
| 24.18 | 23 |
| 39.13 | 21 |
| 49.48 | 19 |
| 39.85 | 18 |
| 57.08 | 10 |
| 48.12 | 9 |



This entry pairs a crystal structure of RbBi with its theoretical X-ray powder pattern. Radiation: Cu Kα. Structure: a cell relaxed with GGA-PBE.
Lines closer than 0.1° are merged.

Structure:
Cell lengths 7.351, 7.351, 7.351 Å; angles 142.77, 130.52, 63.52 degrees
Positions (direct):
Rb: 0.362 0.112 0.250
Rb: 0.638 0.888 0.750
Bi: 0.080 0.330 0.750
Bi: 0.920 0.670 0.250

Principal peaks in the range 2θ = 10–80°, by intensity:
| 2θ/deg | I/Imax |
| --- | --- |
| 27.84 | 100 |
| 16.05 | 40 |
| 29.02 | 29 |
| 28.62 | 28 |
| 50.72 | 19 |
| 37.54 | 17 |
| 14.17 | 16 |
| 48.81 | 14 |
| 41.24 | 14 |
| 38.36 | 14 |



This entry pairs a crystal structure of Sm2PaPN5 with its theoretical X-ray powder pattern. Radiation: Cu Kα. Structure: a cell relaxed with GGA-PBE.
Lines closer than 0.1° are merged.

Structure:
Cell lengths 6.384, 6.384, 5.736 Å; angles 90.00, 90.00, 90.00 degrees
Positions (direct):
Sm: 0.172 0.328 0.000
Sm: 0.328 0.828 0.000
Sm: 0.672 0.172 0.000
Sm: 0.828 0.672 0.000
Pa: 0.000 0.000 0.500
Pa: 0.500 0.500 0.500
P: 0.000 0.500 0.500
P: 0.500 0.000 0.500
N: 0.000 0.000 0.000
N: 0.139 0.639 0.292
N: 0.139 0.639 0.708
N: 0.361 0.139 0.292
N: 0.361 0.139 0.708
N: 0.500 0.500 0.000
N: 0.639 0.861 0.292
N: 0.639 0.861 0.708
N: 0.861 0.361 0.292
N: 0.861 0.361 0.708

Principal peaks in the range 2θ = 10–80°, by intensity:
| 2θ/deg | I/Imax |
| --- | --- |
| 32.09 | 100 |
| 25.10 | 64 |
| 35.11 | 51 |
| 31.19 | 44 |
| 44.90 | 34 |
| 44.79 | 31 |
| 55.68 | 28 |
| 39.94 | 22 |
| 56.07 | 22 |
| 51.53 | 21 |